The following is a simulated powder diffractogram of AcY11. It was derived from a cell relaxed with PBE, using Cu Kα.
Intensities are scaled so that the largest is 1000.

Largest 10 diffraction maxima, in order of rising 2θ, 10 to 90 degrees two-theta:
23.9°, d 3.726, intensity 150
29.4°, d 3.036, intensity 399
30.8°, d 2.902, intensity 681
31.4°, d 2.845, intensity 1000
37.1°, d 2.424, intensity 235
44.6°, d 2.032, intensity 223
49.4°, d 1.845, intensity 173
55.6°, d 1.653, intensity 225
56.0°, d 1.643, intensity 163
61.0°, d 1.518, intensity 289

Atomic structure:
```
AcY11
1.0
11.3818 0.0000 0.0000
-5.6909 9.8570 0.0000
0.0000 0.0000 3.5900
Ac Y
1 11
Direct
0.0000 0.0000 0.0000
0.0000 0.5000 0.0000
0.1801 0.3601 0.5000
0.1801 0.8199 0.5000
0.3333 0.6667 0.0000
0.3601 0.1801 0.5000
0.5000 0.0000 0.0000
0.5000 0.5000 0.0000
0.6399 0.8199 0.5000
0.6667 0.3333 0.0000
0.8199 0.1801 0.5000
0.8199 0.6399 0.5000
```

=====

The following is a simulated powder diffractogram of KTbMgF6. It was derived from a cell relaxed with PBE, using Cu Kα.
Intensities are scaled so that the largest is 1000.

Largest 10 diffraction maxima, in order of rising 2θ, 10 to 90 degrees two-theta:
15.1°, d 5.857, intensity 1000
17.4°, d 5.105, intensity 441
28.1°, d 3.180, intensity 625
29.0°, d 3.076, intensity 282
29.4°, d 3.041, intensity 338
30.5°, d 2.929, intensity 338
37.7°, d 2.386, intensity 397
38.8°, d 2.319, intensity 277
45.8°, d 1.979, intensity 212
50.1°, d 1.821, intensity 385

Atomic structure:
```
KTbMgF6
1.0
-3.5759 3.7869 5.1046
3.5759 -3.7869 5.1046
3.5759 3.7869 -5.1046
K Tb Mg F
2 2 2 12
Direct
0.3361 0.0861 0.2500
0.6639 0.9139 0.7500
0.0000 0.5000 0.5000
0.5000 0.5000 0.0000
0.0000 0.0000 0.5000
0.0000 0.5000 0.0000
0.0591 0.3459 0.1723
0.0591 0.8868 0.7132
0.0840 0.3340 0.7500
0.3264 0.1132 0.6723
0.3264 0.6541 0.2132
0.3641 0.6141 0.7500
0.6359 0.3859 0.2500
0.6736 0.3459 0.7868
0.6736 0.8868 0.3277
0.9160 0.6660 0.2500
0.9409 0.1132 0.2868
0.9409 0.6541 0.8277
```

=====

Copy entry 2 word for word.
The following is a simulated powder diffractogram of KTbMgF6. It was derived from a cell relaxed with PBE, using Cu Kα.
Intensities are scaled so that the largest is 1000.

Largest 10 diffraction maxima, in order of rising 2θ, 10 to 90 degrees two-theta:
15.1°, d 5.857, intensity 1000
17.4°, d 5.105, intensity 441
28.1°, d 3.180, intensity 625
29.0°, d 3.076, intensity 282
29.4°, d 3.041, intensity 338
30.5°, d 2.929, intensity 338
37.7°, d 2.386, intensity 397
38.8°, d 2.319, intensity 277
45.8°, d 1.979, intensity 212
50.1°, d 1.821, intensity 385

Atomic structure:
```
KTbMgF6
1.0
-3.5759 3.7869 5.1046
3.5759 -3.7869 5.1046
3.5759 3.7869 -5.1046
K Tb Mg F
2 2 2 12
Direct
0.3361 0.0861 0.2500
0.6639 0.9139 0.7500
0.0000 0.5000 0.5000
0.5000 0.5000 0.0000
0.0000 0.0000 0.5000
0.0000 0.5000 0.0000
0.0591 0.3459 0.1723
0.0591 0.8868 0.7132
0.0840 0.3340 0.7500
0.3264 0.1132 0.6723
0.3264 0.6541 0.2132
0.3641 0.6141 0.7500
0.6359 0.3859 0.2500
0.6736 0.3459 0.7868
0.6736 0.8868 0.3277
0.9160 0.6660 0.2500
0.9409 0.1132 0.2868
0.9409 0.6541 0.8277
```

=====

Repeat the second record exactly.
The following is a simulated powder diffractogram of KTbMgF6. It was derived from a cell relaxed with PBE, using Cu Kα.
Intensities are scaled so that the largest is 1000.

Largest 10 diffraction maxima, in order of rising 2θ, 10 to 90 degrees two-theta:
15.1°, d 5.857, intensity 1000
17.4°, d 5.105, intensity 441
28.1°, d 3.180, intensity 625
29.0°, d 3.076, intensity 282
29.4°, d 3.041, intensity 338
30.5°, d 2.929, intensity 338
37.7°, d 2.386, intensity 397
38.8°, d 2.319, intensity 277
45.8°, d 1.979, intensity 212
50.1°, d 1.821, intensity 385

Atomic structure:
```
KTbMgF6
1.0
-3.5759 3.7869 5.1046
3.5759 -3.7869 5.1046
3.5759 3.7869 -5.1046
K Tb Mg F
2 2 2 12
Direct
0.3361 0.0861 0.2500
0.6639 0.9139 0.7500
0.0000 0.5000 0.5000
0.5000 0.5000 0.0000
0.0000 0.0000 0.5000
0.0000 0.5000 0.0000
0.0591 0.3459 0.1723
0.0591 0.8868 0.7132
0.0840 0.3340 0.7500
0.3264 0.1132 0.6723
0.3264 0.6541 0.2132
0.3641 0.6141 0.7500
0.6359 0.3859 0.2500
0.6736 0.3459 0.7868
0.6736 0.8868 0.3277
0.9160 0.6660 0.2500
0.9409 0.1132 0.2868
0.9409 0.6541 0.8277
```